1.
# Nd6In2Cu
Computed XRD peak list, Cu Kα X-rays. Input: a crystal structure in Alexandria, relaxed with PBE.
Neutral-atom scattering factors, no anomalous dispersion.

Atomic structure:
```
data_Nd6In2Cu
_cell_length_a 8.4454
_cell_length_b 8.4454
_cell_length_c 4.4174
_cell_angle_alpha 90.00
_cell_angle_beta 90.00
_cell_angle_gamma 120.00
_space_group_name_H-M_alt 'P -6 2 m'
_space_group_IT_number 189
_space_group_name_Hall 'P -6 -2'
loop_
_atom_site_label
_atom_site_type_symbol
_atom_site_fract_x
_atom_site_fract_y
_atom_site_fract_z
Nd1 Nd 0.0000 0.2444 0.0000
Nd2 Nd 0.0000 0.5880 0.5000
In1 In 0.3333 0.6667 0.0000
Cu1 Cu 0.0000 0.0000 0.5000
```

The 10 most intense peaks (2θ = 10–90°), sorted by position:
2θ 29.26, d 3.052, I = 100, (1 1 1); 2θ 31.77, d 2.817, I = 82, (2 0 1); 2θ 32.39, d 2.764, I = 66, (2 1 0); 2θ 36.87, d 2.438, I = 26, (3 0 0); 2θ 38.41, d 2.343, I = 26, (2 1 1); 2θ 40.86, d 2.209, I = 26, (0 0 2); 2θ 49.44, d 1.843, I = 19, (3 1 1); 2θ 53.07, d 1.726, I = 33, (2 1 2); 2θ 56.20, d 1.637, I = 15, (3 0 2); 2θ 58.88, d 1.569, I = 29, (3 2 1)

=====

2.
# Ca3B6Rh8
Computed XRD peak list, Cu Kα X-rays. Input: a crystal structure in Alexandria, relaxed with PBE.
Neutral-atom scattering factors, no anomalous dispersion.

Atomic structure:
```
data_Ca3B6Rh8
_cell_length_a 5.546
_cell_length_b 9.806
_cell_length_c 17.096
_cell_angle_alpha 90.00
_cell_angle_beta 90.00
_cell_angle_gamma 90.00
_space_group_name_H-M_alt 'F m m m'
_space_group_IT_number 69
_space_group_name_Hall '-F 2 2'
loop_
_atom_site_label
_atom_site_type_symbol
_atom_site_fract_x
_atom_site_fract_y
_atom_site_fract_z
Ca1 Ca 0.000 0.000 0.000
Ca2 Ca 0.000 0.000 0.182
B1 B 0.000 0.160 0.329
B2 B 0.000 0.167 0.500
Rh1 Rh 0.000 0.000 0.413
Rh2 Rh 0.250 0.250 0.085
Rh3 Rh 0.250 0.250 0.250
```

The 10 most intense peaks (2θ = 10–90°), sorted by position:
2θ 18.09, d 4.903, I = 36, (0 2 0); 2θ 31.40, d 2.849, I = 41, (0 0 6); 2θ 32.08, d 2.790, I = 28, (1 1 5); 2θ 36.47, d 2.464, I = 31, (0 2 6); 2θ 36.66, d 2.451, I = 52, (0 4 0); 2θ 37.25, d 2.414, I = 100, (2 2 0); 2θ 45.65, d 1.987, I = 20, (2 0 6); 2θ 49.02, d 1.858, I = 29, (0 4 6); 2θ 49.48, d 1.842, I = 60, (2 2 6); 2θ 66.40, d 1.408, I = 20, (2 6 0)

=====

What did the second record say?
# Ca3B6Rh8
Computed XRD peak list, Cu Kα X-rays. Input: a crystal structure in Alexandria, relaxed with PBE.
Neutral-atom scattering factors, no anomalous dispersion.

Atomic structure:
```
data_Ca3B6Rh8
_cell_length_a 5.546
_cell_length_b 9.806
_cell_length_c 17.096
_cell_angle_alpha 90.00
_cell_angle_beta 90.00
_cell_angle_gamma 90.00
_space_group_name_H-M_alt 'F m m m'
_space_group_IT_number 69
_space_group_name_Hall '-F 2 2'
loop_
_atom_site_label
_atom_site_type_symbol
_atom_site_fract_x
_atom_site_fract_y
_atom_site_fract_z
Ca1 Ca 0.000 0.000 0.000
Ca2 Ca 0.000 0.000 0.182
B1 B 0.000 0.160 0.329
B2 B 0.000 0.167 0.500
Rh1 Rh 0.000 0.000 0.413
Rh2 Rh 0.250 0.250 0.085
Rh3 Rh 0.250 0.250 0.250
```

The 10 most intense peaks (2θ = 10–90°), sorted by position:
2θ 18.09, d 4.903, I = 36, (0 2 0); 2θ 31.40, d 2.849, I = 41, (0 0 6); 2θ 32.08, d 2.790, I = 28, (1 1 5); 2θ 36.47, d 2.464, I = 31, (0 2 6); 2θ 36.66, d 2.451, I = 52, (0 4 0); 2θ 37.25, d 2.414, I = 100, (2 2 0); 2θ 45.65, d 1.987, I = 20, (2 0 6); 2θ 49.02, d 1.858, I = 29, (0 4 6); 2θ 49.48, d 1.842, I = 60, (2 2 6); 2θ 66.40, d 1.408, I = 20, (2 6 0)

=====

Copy entry 2 word for word.
# Ca3B6Rh8
Computed XRD peak list, Cu Kα X-rays. Input: a crystal structure in Alexandria, relaxed with PBE.
Neutral-atom scattering factors, no anomalous dispersion.

Atomic structure:
```
data_Ca3B6Rh8
_cell_length_a 5.546
_cell_length_b 9.806
_cell_length_c 17.096
_cell_angle_alpha 90.00
_cell_angle_beta 90.00
_cell_angle_gamma 90.00
_space_group_name_H-M_alt 'F m m m'
_space_group_IT_number 69
_space_group_name_Hall '-F 2 2'
loop_
_atom_site_label
_atom_site_type_symbol
_atom_site_fract_x
_atom_site_fract_y
_atom_site_fract_z
Ca1 Ca 0.000 0.000 0.000
Ca2 Ca 0.000 0.000 0.182
B1 B 0.000 0.160 0.329
B2 B 0.000 0.167 0.500
Rh1 Rh 0.000 0.000 0.413
Rh2 Rh 0.250 0.250 0.085
Rh3 Rh 0.250 0.250 0.250
```

The 10 most intense peaks (2θ = 10–90°), sorted by position:
2θ 18.09, d 4.903, I = 36, (0 2 0); 2θ 31.40, d 2.849, I = 41, (0 0 6); 2θ 32.08, d 2.790, I = 28, (1 1 5); 2θ 36.47, d 2.464, I = 31, (0 2 6); 2θ 36.66, d 2.451, I = 52, (0 4 0); 2θ 37.25, d 2.414, I = 100, (2 2 0); 2θ 45.65, d 1.987, I = 20, (2 0 6); 2θ 49.02, d 1.858, I = 29, (0 4 6); 2θ 49.48, d 1.842, I = 60, (2 2 6); 2θ 66.40, d 1.408, I = 20, (2 6 0)